(1)
YGeBr2: simulated X-ray diffraction stick pattern (Cu Kα), based on DFT lattice parameters and positions (PBE).
No peak broadening, texture or thermal motion is included.

Structural model:
```
data_YGeBr2
_cell_length_a 5.1386
_cell_length_b 5.1386
_cell_length_c 5.1386
_cell_angle_alpha 60.00
_cell_angle_beta 60.00
_cell_angle_gamma 60.00
_space_group_name_H-M_alt 'P 1'
_space_group_IT_number 1
loop_
_space_group_symop_operation_xyz
'x,y,z'
loop_
_atom_site_label
_atom_site_fract_x
_atom_site_fract_y
_atom_site_fract_z
Y1 0.0000 0.0000 0.0000
Ge1 0.5000 0.5000 0.5000
Br1 0.2500 0.2500 0.2500
Br2 0.7500 0.7500 0.7500
```

Largest 6 diffraction maxima, low angle first, 2θ = 10–90°:
| two_theta | I/Imax |
| --- | --- |
| 21.18 | 0.6 |
| 34.92 | 100.0 |
| 50.22 | 17.4 |
| 62.63 | 35.2 |
| 73.75 | 10.8 |
| 84.28 | 15.4 |

(2)
DyTm3Bi3: simulated X-ray diffraction stick pattern (Cu Kα), based on DFT lattice parameters and positions (PBE).
No peak broadening, texture or thermal motion is included.

Structural model:
```
data_DyTm3Bi3
_cell_length_a 9.3079
_cell_length_b 9.3079
_cell_length_c 9.3079
_cell_angle_alpha 90.00
_cell_angle_beta 90.00
_cell_angle_gamma 90.00
_space_group_name_H-M_alt 'P 1'
_space_group_IT_number 1
loop_
_space_group_symop_operation_xyz
'x,y,z'
loop_
_atom_site_label
_atom_site_fract_x
_atom_site_fract_y
_atom_site_fract_z
Dy1 0.0726 0.4274 0.5726
Dy2 0.4274 0.5726 0.0726
Dy3 0.5726 0.0726 0.4274
Dy4 0.9274 0.9274 0.9274
Tm1 0.0763 0.5763 0.9237
Tm2 0.1758 0.8242 0.3242
Tm3 0.1768 0.1768 0.1768
Tm4 0.3232 0.8232 0.6768
Tm5 0.3242 0.1758 0.8242
Tm6 0.4237 0.4237 0.4237
Tm7 0.5763 0.9237 0.0763
Tm8 0.6758 0.6758 0.6758
Tm9 0.6768 0.3232 0.8232
Tm10 0.8232 0.6768 0.3232
Tm11 0.8242 0.3242 0.1758
Tm12 0.9237 0.0763 0.5763
Bi1 0.0010 0.2529 0.8760
Bi2 0.1240 0.5010 0.2471
Bi3 0.2471 0.1240 0.5010
Bi4 0.2529 0.8760 0.0010
Bi5 0.3760 0.4990 0.7471
Bi6 0.4990 0.7471 0.3760
Bi7 0.5010 0.2471 0.1240
Bi8 0.6240 0.9990 0.7529
Bi9 0.7471 0.3760 0.4990
Bi10 0.7529 0.6240 0.9990
Bi11 0.8760 0.0010 0.2529
Bi12 0.9990 0.7529 0.6240
```

Largest 6 diffraction maxima, low angle first, 2θ = 10–90°:
| two_theta | I/Imax |
| --- | --- |
| 30.37 | 100.0 |
| 36.11 | 68.9 |
| 43.48 | 17.6 |
| 49.96 | 18.3 |
| 61.40 | 29.6 |
| 74.98 | 18.2 |

(3)
Dy6BiRh: simulated X-ray diffraction stick pattern (Cu Kα), based on DFT lattice parameters and positions (PBE).
No peak broadening, texture or thermal motion is included.

Structural model:
```
data_Dy6BiRh
_cell_length_a 6.8476
_cell_length_b 6.8589
_cell_length_c 7.6621
_cell_angle_alpha 90.12
_cell_angle_beta 116.42
_cell_angle_gamma 119.94
_space_group_name_H-M_alt 'P 1'
_space_group_IT_number 1
loop_
_space_group_symop_operation_xyz
'x,y,z'
loop_
_atom_site_label
_atom_site_fract_x
_atom_site_fract_y
_atom_site_fract_z
Dy1 0.0430 0.0814 0.2674
Dy2 0.3062 0.7245 0.2676
Dy3 0.3127 0.5377 0.7326
Dy4 0.6873 0.4623 0.2674
Dy5 0.6938 0.2755 0.7324
Dy6 0.9570 0.9186 0.7326
Bi1 0.5000 0.0000 0.0000
Rh1 0.5000 0.5000 0.5000
```

Largest 6 diffraction maxima, low angle first, 2θ = 10–90°:
| two_theta | I/Imax |
| --- | --- |
| 23.47 | 22.5 |
| 27.15 | 16.3 |
| 29.39 | 100.0 |
| 37.92 | 37.8 |
| 45.86 | 30.0 |
| 49.38 | 17.9 |

(4)
La5ZnRu2: simulated X-ray diffraction stick pattern (Cu Kα), based on DFT lattice parameters and positions (PBE).
No peak broadening, texture or thermal motion is included.

Structural model:
```
data_La5ZnRu2
_cell_length_a 9.0100
_cell_length_b 9.0100
_cell_length_c 9.0100
_cell_angle_alpha 127.31
_cell_angle_beta 127.31
_cell_angle_gamma 77.75
_space_group_name_H-M_alt 'P 1'
_space_group_IT_number 1
loop_
_space_group_symop_operation_xyz
'x,y,z'
loop_
_atom_site_label
_atom_site_fract_x
_atom_site_fract_y
_atom_site_fract_z
La1 0.0000 0.0000 0.0000
La2 0.0318 0.5318 0.8282
La3 0.2036 0.0318 0.5000
La4 0.2964 0.7964 0.8282
La5 0.4682 0.2964 0.5000
La6 0.5000 0.5000 0.0000
La7 0.5318 0.7036 0.5000
La8 0.7036 0.2036 0.1718
La9 0.7964 0.9682 0.5000
La10 0.9682 0.4682 0.1718
Zn1 0.2500 0.2500 0.0000
Zn2 0.7500 0.7500 0.0000
Ru1 0.1399 0.3601 0.5000
Ru2 0.3601 0.8601 0.2201
Ru3 0.6399 0.1399 0.7799
Ru4 0.8601 0.6399 0.5000
```

Largest 6 diffraction maxima, low angle first, 2θ = 10–90°:
| two_theta | I/Imax |
| --- | --- |
| 12.62 | 23.4 |
| 31.49 | 100.0 |
| 34.00 | 30.8 |
| 35.50 | 55.9 |
| 40.88 | 28.9 |
| 66.02 | 18.1 |

(5)
La5PmMg: simulated X-ray diffraction stick pattern (Cu Kα), based on DFT lattice parameters and positions (PBE).
No peak broadening, texture or thermal motion is included.

Structural model:
```
data_La5PmMg
_cell_length_a 6.7025
_cell_length_b 6.7025
_cell_length_c 11.8149
_cell_angle_alpha 103.68
_cell_angle_beta 103.68
_cell_angle_gamma 96.32
_space_group_name_H-M_alt 'P 1'
_space_group_IT_number 1
loop_
_space_group_symop_operation_xyz
'x,y,z'
loop_
_atom_site_label
_atom_site_fract_x
_atom_site_fract_y
_atom_site_fract_z
La1 0.0361 0.3809 0.8350
La2 0.1548 0.8452 0.7500
La3 0.2274 0.5373 0.4765
La4 0.3809 0.0361 0.3350
La5 0.4627 0.7726 0.0235
La6 0.5373 0.2274 0.9765
La7 0.6191 0.9639 0.6650
La8 0.7726 0.4627 0.5235
La9 0.8452 0.1548 0.2500
La10 0.9639 0.6191 0.1650
Pm1 0.4827 0.5173 0.2500
Pm2 0.5173 0.4827 0.7500
Mg1 0.0000 0.0000 0.0000
Mg2 0.0000 0.0000 0.5000
```

Largest 6 diffraction maxima, low angle first, 2θ = 10–90°:
| two_theta | I/Imax |
| --- | --- |
| 31.11 | 100.0 |
| 31.24 | 89.9 |
| 31.49 | 38.2 |
| 31.66 | 20.5 |
| 31.88 | 34.6 |
| 55.22 | 21.0 |

(6)
SmHoTmHg: simulated X-ray diffraction stick pattern (Cu Kα), based on DFT lattice parameters and positions (PBE).
No peak broadening, texture or thermal motion is included.

Structural model:
```
data_SmHoTmHg
_cell_length_a 5.4112
_cell_length_b 5.4112
_cell_length_c 5.4112
_cell_angle_alpha 60.00
_cell_angle_beta 60.00
_cell_angle_gamma 60.00
_space_group_name_H-M_alt 'P 1'
_space_group_IT_number 1
loop_
_space_group_symop_operation_xyz
'x,y,z'
loop_
_atom_site_label
_atom_site_fract_x
_atom_site_fract_y
_atom_site_fract_z
Sm1 0.0000 0.0000 0.0000
Ho1 0.5000 0.5000 0.5000
Tm1 0.2500 0.2500 0.2500
Hg1 0.7500 0.7500 0.7500
```

Largest 6 diffraction maxima, low angle first, 2θ = 10–90°:
| two_theta | I/Imax |
| --- | --- |
| 33.11 | 100.0 |
| 47.53 | 18.4 |
| 59.14 | 38.5 |
| 69.48 | 11.9 |
| 79.16 | 16.7 |
| 88.53 | 4.4 |